1.
The following is a computed powder diffractogram of Nd6SmHo6. It was derived from a DFT-relaxed cell (PBE, Alexandria), using copper Kα.
Lines closer than 0.1° are merged.

Structural model:
Lattice parameters (Å, degrees): 6.736 6.736 11.447 90.00 90.00 120.00
Atoms (fractional coordinates):
Nd 0.000 0.000 0.154
Nd 0.000 0.000 0.846
Nd 0.333 0.667 0.000
Nd 0.333 0.667 0.500
Nd 0.667 0.333 0.000
Nd 0.667 0.333 0.500
Sm 0.000 0.000 0.500
Ho 0.000 0.500 0.253
Ho 0.000 0.500 0.747
Ho 0.500 0.000 0.253
Ho 0.500 0.000 0.747
Ho 0.500 0.500 0.253
Ho 0.500 0.500 0.747

The 10 most intense peaks (2θ = 5–70°), low angle first:
two_theta	I/Imax
26.5	32
27.9	23
30.7	58
30.8	82
31.3	32
34.5	100
34.9	30
54.5	36
55.3	30
64.2	25

***

2.
The following is a computed powder diffractogram of Nd5Sm2Ho2. It was derived from a DFT-relaxed cell (PBE, Alexandria), using copper Kα.
Lines closer than 0.1° are merged.

Structural model:
Lattice parameters (Å, degrees): 10.499 10.499 10.499 86.75 103.51 145.39
Atoms (fractional coordinates):
Nd 0.062 0.988 0.574
Nd 0.198 0.048 0.246
Nd 0.198 0.452 0.651
Nd 0.415 0.488 0.426
Nd 0.468 0.010 0.171
Nd 0.468 0.797 0.958
Nd 0.802 0.548 0.349
Nd 0.802 0.952 0.754
Nd 0.839 0.297 0.829
Nd 0.839 0.510 0.042
Sm 0.581 0.081 0.500
Sm 0.581 0.581 0.000
Sm 0.656 0.463 0.693
Sm 0.770 0.963 0.307
Ho 0.097 0.283 0.086
Ho 0.097 0.511 0.314
Ho 0.197 0.011 0.914
Ho 0.197 0.783 0.686

The 10 most intense peaks (2θ = 5–70°), low angle first:
two_theta	I/Imax
27.6	26
28.3	29
28.6	30
30.1	62
30.9	31
31.6	84
34.4	100
52.6	13
61.0	16
63.7	16

***

3.
The following is a computed powder diffractogram of NdSm3Ho5. It was derived from a DFT-relaxed cell (PBE, Alexandria), using copper Kα.
Lines closer than 0.1° are merged.

Structural model:
Lattice parameters (Å, degrees): 8.907 8.907 11.375 107.88 107.88 44.26
Atoms (fractional coordinates):
Nd 0.227 0.773 0.750
Nd 0.773 0.227 0.250
Sm 0.000 0.000 0.000
Sm 0.000 0.000 0.500
Sm 0.137 0.386 0.645
Sm 0.386 0.137 0.145
Sm 0.614 0.863 0.855
Sm 0.863 0.614 0.355
Ho 0.054 0.298 0.874
Ho 0.298 0.054 0.374
Ho 0.321 0.679 0.250
Ho 0.390 0.395 0.454
Ho 0.395 0.390 0.954
Ho 0.605 0.610 0.046
Ho 0.610 0.605 0.546
Ho 0.679 0.321 0.750
Ho 0.702 0.946 0.626
Ho 0.946 0.702 0.126

The 10 most intense peaks (2θ = 5–70°), low angle first:
two_theta	I/Imax
30.7	26
31.0	50
31.2	37
31.5	100
31.7	16
32.6	25
33.0	11
36.7	10
56.0	17
56.1	12

***

4.
The following is a computed powder diffractogram of Nd7Sm2Ho. It was derived from a DFT-relaxed cell (PBE, Alexandria), using copper Kα.
Lines closer than 0.1° are merged.

Structural model:
Lattice parameters (Å, degrees): 9.576 9.576 5.522 90.00 90.00 125.33
Atoms (fractional coordinates):
Nd 0.000 0.000 0.000
Nd 0.210 0.430 0.000
Nd 0.288 0.712 0.500
Nd 0.430 0.210 0.000
Nd 0.570 0.790 0.000
Nd 0.712 0.288 0.500
Nd 0.790 0.570 0.000
Sm 0.205 0.795 0.000
Sm 0.795 0.205 0.000
Ho 0.500 0.500 0.500

The 10 most intense peaks (2θ = 5–70°), low angle first:
two_theta	I/Imax
16.1	37
26.5	25
29.2	49
32.4	45
32.5	100
35.1	53
44.2	31
57.9	27
60.7	22
61.7	25

***

5.
The following is a computed powder diffractogram of Nd5Sm6Ho2. It was derived from a DFT-relaxed cell (PBE, Alexandria), using copper Kα.
Lines closer than 0.1° are merged.

Structural model:
Lattice parameters (Å, degrees): 11.785 20.844 3.641 90.00 90.00 90.00
Atoms (fractional coordinates):
Nd 0.000 0.000 0.000
Nd 0.085 0.273 0.000
Nd 0.198 0.553 0.000
Nd 0.302 0.053 0.000
Nd 0.415 0.773 0.000
Nd 0.500 0.500 0.000
Nd 0.585 0.227 0.000
Nd 0.698 0.947 0.000
Nd 0.802 0.447 0.000
Nd 0.915 0.727 0.000
Sm 0.062 0.419 0.500
Sm 0.082 0.132 0.500
Sm 0.175 0.861 0.000
Sm 0.325 0.361 0.000
Sm 0.418 0.632 0.500
Sm 0.438 0.919 0.500
Sm 0.562 0.081 0.500
Sm 0.582 0.368 0.500
Sm 0.675 0.639 0.000
Sm 0.825 0.139 0.000
Sm 0.918 0.868 0.500
Sm 0.938 0.581 0.500
Ho 0.171 0.711 0.500
Ho 0.329 0.211 0.500
Ho 0.671 0.789 0.500
Ho 0.829 0.289 0.500

The 10 most intense peaks (2θ = 5–70°), low angle first:
two_theta	I/Imax
30.6	52
30.9	100
31.6	88
33.7	36
34.5	16
36.1	37
50.1	18
56.0	19
59.9	18
60.1	16

***

6.
The following is a computed powder diffractogram of NdSm4Ho8. It was derived from a DFT-relaxed cell (PBE, Alexandria), using copper Kα.
Lines closer than 0.1° are merged.

Structural model:
Lattice parameters (Å, degrees): 7.788 7.788 7.788 90.00 90.00 90.00
Atoms (fractional coordinates):
Nd 0.000 0.000 0.000
Sm 0.000 0.000 0.500
Sm 0.000 0.500 0.000
Sm 0.500 0.000 0.000
Sm 0.500 0.500 0.500
Ho 0.261 0.261 0.261
Ho 0.261 0.261 0.739
Ho 0.261 0.739 0.261
Ho 0.261 0.739 0.739
Ho 0.739 0.261 0.261
Ho 0.739 0.261 0.739
Ho 0.739 0.739 0.261
Ho 0.739 0.739 0.739

The 10 most intense peaks (2θ = 5–70°), low angle first:
two_theta	I/Imax
16.1	3
19.7	12
22.8	9
25.6	5
32.5	100
38.3	6
46.7	18
52.6	3
58.0	37
68.1	11

***

7.
The following is a computed powder diffractogram of Nd10SmHo6. It was derived from a DFT-relaxed cell (PBE, Alexandria), using copper Kα.
Lines closer than 0.1° are merged.

Structural model:
Lattice parameters (Å, degrees): 9.856 9.856 6.922 90.00 90.00 120.00
Atoms (fractional coordinates):
Nd 0.000 0.276 0.318
Nd 0.000 0.724 0.682
Nd 0.276 0.000 0.318
Nd 0.276 0.276 0.682
Nd 0.333 0.667 0.000
Nd 0.333 0.667 0.500
Nd 0.667 0.333 0.000
Nd 0.667 0.333 0.500
Nd 0.724 0.000 0.682
Nd 0.724 0.724 0.318
Sm 0.000 0.000 0.000
Ho 0.000 0.370 0.811
Ho 0.000 0.630 0.189
Ho 0.370 0.000 0.811
Ho 0.370 0.370 0.189
Ho 0.630 0.000 0.189
Ho 0.630 0.630 0.811

The 10 most intense peaks (2θ = 5–70°), low angle first:
two_theta	I/Imax
30.6	40
31.4	81
31.6	100
40.3	10
45.2	27
48.3	13
56.0	26
56.3	19
58.8	9
62.0	11

***

8.
The following is a computed powder diffractogram of NdSm12Ho3. It was derived from a DFT-relaxed cell (PBE, Alexandria), using copper Kα.
Lines closer than 0.1° are merged.

Structural model:
Lattice parameters (Å, degrees): 5.107 5.107 20.405 90.00 90.00 90.00
Atoms (fractional coordinates):
Nd 0.000 0.000 0.000
Sm 0.000 0.500 0.127
Sm 0.000 0.500 0.376
Sm 0.000 0.500 0.624
Sm 0.000 0.500 0.873
Sm 0.500 0.000 0.127
Sm 0.500 0.000 0.376
Sm 0.500 0.000 0.624
Sm 0.500 0.000 0.873
Sm 0.500 0.500 0.000
Sm 0.500 0.500 0.252
Sm 0.500 0.500 0.500
Sm 0.500 0.500 0.748
Ho 0.000 0.000 0.251
Ho 0.000 0.000 0.500
Ho 0.000 0.000 0.749

The 5 most intense peaks (2θ = 5–70°), low angle first:
two_theta	I/Imax
30.3	100
35.2	51
50.6	36
60.1	43
63.1	12

***

9.
The following is a computed powder diffractogram of Nd2Sm3Ho4. It was derived from a DFT-relaxed cell (PBE, Alexandria), using copper Kα.
Lines closer than 0.1° are merged.

Structural model:
Lattice parameters (Å, degrees): 10.177 10.177 6.095 95.63 95.63 70.01
Atoms (fractional coordinates):
Nd 0.010 0.776 0.720
Nd 0.224 0.990 0.780
Nd 0.776 0.010 0.220
Nd 0.990 0.224 0.280
Sm 0.147 0.853 0.250
Sm 0.186 0.487 0.412
Sm 0.487 0.186 0.912
Sm 0.513 0.814 0.088
Sm 0.814 0.513 0.588
Sm 0.853 0.147 0.750
Ho 0.122 0.344 0.870
Ho 0.330 0.548 0.956
Ho 0.344 0.122 0.370
Ho 0.452 0.670 0.544
Ho 0.548 0.330 0.456
Ho 0.656 0.878 0.630
Ho 0.670 0.452 0.044
Ho 0.878 0.656 0.130

The 10 most intense peaks (2θ = 5–70°), low angle first:
two_theta	I/Imax
30.2	60
30.4	60
30.6	49
31.6	100
37.4	32
37.5	30
50.2	13
50.6	13
55.1	15
55.4	23

***

10.
The following is a computed powder diffractogram of Nd2Sm3Ho7. It was derived from a DFT-relaxed cell (PBE, Alexandria), using copper Kα.
Lines closer than 0.1° are merged.

Structural model:
Lattice parameters (Å, degrees): 6.354 3.532 17.548 90.00 96.21 90.00
Atoms (fractional coordinates):
Nd 0.056 0.000 0.174
Nd 0.944 0.000 0.826
Sm 0.454 0.500 0.841
Sm 0.500 0.000 0.500
Sm 0.546 0.500 0.159
Ho 0.000 0.500 0.500
Ho 0.226 0.000 0.665
Ho 0.255 0.000 0.000
Ho 0.273 0.500 0.337
Ho 0.727 0.500 0.663
Ho 0.745 0.000 0.000
Ho 0.774 0.000 0.335

The 10 most intense peaks (2θ = 5–70°), low angle first:
two_theta	I/Imax
29.7	29
30.7	100
31.3	56
33.7	36
34.7	41
37.9	16
50.2	20
51.8	13
52.7	23
61.4	28

***

11.
The following is a computed powder diffractogram of Nd6SmHo12. It was derived from a DFT-relaxed cell (PBE, Alexandria), using copper Kα.
Lines closer than 0.1° are merged.

Structural model:
Lattice parameters (Å, degrees): 8.669 8.669 8.669 79.69 79.69 79.69
Atoms (fractional coordinates):
Nd 0.269 0.269 0.664
Nd 0.269 0.664 0.269
Nd 0.336 0.731 0.731
Nd 0.664 0.269 0.269
Nd 0.731 0.336 0.731
Nd 0.731 0.731 0.336
Sm 0.500 0.500 0.500
Ho 0.015 0.015 0.696
Ho 0.015 0.696 0.015
Ho 0.017 0.363 0.363
Ho 0.304 0.985 0.985
Ho 0.363 0.017 0.363
Ho 0.363 0.363 0.017
Ho 0.637 0.637 0.983
Ho 0.637 0.983 0.637
Ho 0.696 0.015 0.015
Ho 0.983 0.637 0.637
Ho 0.985 0.304 0.985
Ho 0.985 0.985 0.304

The 10 most intense peaks (2θ = 5–70°), low angle first:
two_theta	I/Imax
27.8	20
30.7	22
31.6	6
31.8	100
35.2	4
41.9	18
49.2	19
55.2	16
59.1	15
59.8	13

***

12.
The following is a computed powder diffractogram of Nd5Sm8Ho. It was derived from a DFT-relaxed cell (PBE, Alexandria), using copper Kα.
Lines closer than 0.1° are merged.

Structural model:
Lattice parameters (Å, degrees): 8.596 8.596 8.596 110.79 110.79 106.86
Atoms (fractional coordinates):
Nd 0.000 0.000 0.000
Nd 0.316 0.634 0.104
Nd 0.366 0.469 0.682
Nd 0.531 0.212 0.896
Nd 0.788 0.684 0.318
Sm 0.025 0.422 0.256
Sm 0.065 0.162 0.735
Sm 0.165 0.769 0.744
Sm 0.231 0.975 0.396
Sm 0.427 0.330 0.265
Sm 0.578 0.835 0.604
Sm 0.670 0.935 0.097
Sm 0.838 0.573 0.903
Ho 0.750 0.250 0.500

The 10 most intense peaks (2θ = 5–70°), low angle first:
two_theta	I/Imax
27.7	71
28.8	73
28.9	87
31.2	25
33.3	100
33.9	53
34.3	57
54.1	20
59.9	18
62.1	23